# 1
For Tb2SmDySc2, a structure optimized by DFT (PBE) gives the simulated powder XRD pattern in this record (Cu Kα (weighted mean of Kα1 and Kα2)).
Neutral-atom scattering factors, no anomalous dispersion.

Top 8 peaks for 2θ = 15–90°, by angle:
| index | d/Å | two_theta | I (rel.) |
| --- | --- | --- | --- |
| 0 6 0 | 2.938 | 30.43 | 100 |
| 1 2 1 | 2.818 | 31.76 | 68 |
| 2 2 0 | 2.808 | 31.87 | 33 |
| 1 4 1 | 2.466 | 36.44 | 56 |
| 2 4 0 | 2.459 | 36.54 | 26 |
| 2 5 0 | 2.272 | 39.67 | 36 |
| 3 0 1 | 1.712 | 53.52 | 24 |
| 3 6 1 | 1.480 | 62.78 | 34 |

Structure:
```
data_Tb2SmDySc2
_chemical_formula_sum 'Tb4 Sm2 Dy2 Sc4'
_space_group_name_H-M_alt 'P n n m'
_space_group_IT_number 58
_space_group_name_Hall '-P 2 2n'
_cell_length_a 5.9231
_cell_length_b 17.6485
_cell_length_c 3.4380
_cell_angle_alpha 90.00
_cell_angle_beta 90.00
_cell_angle_gamma 90.00
loop_
_atom_site_label
_atom_site_fract_x
_atom_site_fract_y
_atom_site_fract_z
Tb1 0.1650 0.1638 0.0000
Sm1 0.0000 0.5000 0.5000
Dy1 0.0000 0.0000 0.5000
Sc1 0.1653 0.3456 0.0000
```


# 2
For AgHF, a structure optimized by DFT (PBE) gives the simulated powder XRD pattern in this record (Cu Kα (weighted mean of Kα1 and Kα2)).
Neutral-atom scattering factors, no anomalous dispersion.

Top 8 peaks for 2θ = 15–90°, by angle:
| index | d/Å | two_theta | I (rel.) |
| --- | --- | --- | --- |
| 0 0 4 | 3.538 | 25.17 | 100 |
| 0 2 1 | 2.435 | 36.91 | 42 |
| 1 1 0 | 2.399 | 37.48 | 38 |
| 1 1 1 | 2.366 | 38.04 | 29 |
| 1 1 2 | 2.272 | 39.67 | 56 |
| 0 2 3 | 2.190 | 41.23 | 30 |
| 1 1 4 | 1.986 | 45.69 | 43 |
| 1 1 6 | 1.682 | 54.56 | 21 |

Structure:
```
data_AgHF
_chemical_formula_sum 'Ag4 H4 F4'
_space_group_name_H-M_alt 'P 21 21 21'
_space_group_IT_number 19
_space_group_name_Hall 'P 2ac 2ab'
_cell_length_a 2.7440
_cell_length_b 4.9444
_cell_length_c 14.1503
_cell_angle_alpha 90.00
_cell_angle_beta 90.00
_cell_angle_gamma 90.00
loop_
_atom_site_label
_atom_site_fract_x
_atom_site_fract_y
_atom_site_fract_z
Ag1 0.2499 0.0886 0.2494
H1 0.2045 0.5005 0.9998
F1 0.0412 0.9998 0.0169
```


# 3
For CeNd3Ho7, a structure optimized by DFT (PBE) gives the simulated powder XRD pattern in this record (Cu Kα (weighted mean of Kα1 and Kα2)).
Neutral-atom scattering factors, no anomalous dispersion.

Top 8 peaks for 2θ = 15–90°, by angle:
| index | d/Å | two_theta | I (rel.) |
| --- | --- | --- | --- |
| 0 0 3 | 2.896 | 30.88 | 33 |
| 2 0 1 | 2.876 | 31.10 | 100 |
| 0 2 2 | 2.495 | 36.00 | 69 |
| 2 0 4 | 1.769 | 51.68 | 24 |
| 2 2 0 | 1.760 | 51.97 | 24 |
| 0 2 5 | 1.510 | 61.42 | 15 |
| 2 2 3 | 1.504 | 61.68 | 28 |
| 0 4 1 | 1.501 | 61.81 | 14 |

Structure:
```
data_CeNd3Ho7
_chemical_formula_sum 'Ce1 Nd3 Ho7'
_space_group_name_H-M_alt 'P 3 m 1'
_space_group_IT_number 156
_space_group_name_Hall 'P 3 -2"'
_cell_length_a 7.0381
_cell_length_b 7.0381
_cell_length_c 8.6882
_cell_angle_alpha 90.00
_cell_angle_beta 90.00
_cell_angle_gamma 120.00
loop_
_atom_site_label
_atom_site_fract_x
_atom_site_fract_y
_atom_site_fract_z
Ce1 0.0000 0.0000 0.0000
Nd1 0.1651 0.3301 0.6642
Ho1 0.0006 0.5003 0.9992
Ho2 0.3297 0.1648 0.3230
Ho3 0.3333 0.6667 0.3225
```


# 4
For CaPm5, a structure optimized by DFT (PBE) gives the simulated powder XRD pattern in this record (Cu Kα (weighted mean of Kα1 and Kα2)).
Neutral-atom scattering factors, no anomalous dispersion.

Top 8 peaks for 2θ = 15–90°, by angle:
| index | d/Å | two_theta | I (rel.) |
| --- | --- | --- | --- |
| 1 0 3 | 3.011 | 29.67 | 100 |
| 0 0 6 | 2.625 | 34.16 | 16 |
| 1 1 0 | 2.599 | 34.51 | 34 |
| 1 1 6 | 1.847 | 49.34 | 23 |
| 2 0 0 | 1.838 | 49.60 | 12 |
| 1 0 9 | 1.580 | 58.41 | 13 |
| 2 1 3 | 1.569 | 58.87 | 29 |
| 2 0 6 | 1.505 | 61.60 | 12 |

Structure:
```
data_CaPm5
_chemical_formula_sum 'Ca1 Pm5'
_space_group_name_H-M_alt 'P 4/m m m'
_space_group_IT_number 123
_space_group_name_Hall '-P 4 2'
_cell_length_a 3.6756
_cell_length_b 3.6756
_cell_length_c 15.7497
_cell_angle_alpha 90.00
_cell_angle_beta 90.00
_cell_angle_gamma 90.00
loop_
_atom_site_label
_atom_site_fract_x
_atom_site_fract_y
_atom_site_fract_z
Ca1 0.0000 0.0000 0.0000
Pm1 0.0000 0.0000 0.3353
Pm2 0.5000 0.5000 0.1783
Pm3 0.5000 0.5000 0.5000
```


# 5
For Mn3Au7, a structure optimized by DFT (PBE) gives the simulated powder XRD pattern in this record (Cu Kα (weighted mean of Kα1 and Kα2)).
Neutral-atom scattering factors, no anomalous dispersion.

Top 8 peaks for 2θ = 15–90°, by angle:
| index | d/Å | two_theta | I (rel.) |
| --- | --- | --- | --- |
| 3 1 -1 | 3.013 | 29.65 | 14 |
| 1 1 -2 | 2.380 | 37.80 | 96 |
| 5 1 0 | 2.349 | 38.32 | 100 |
| 0 2 0 | 2.133 | 42.37 | 38 |
| 6 0 -2 | 2.128 | 42.48 | 35 |
| 4 0 2 | 1.907 | 47.70 | 24 |
| 6 2 -2 | 1.507 | 61.55 | 23 |
| 4 2 2 | 1.422 | 65.68 | 18 |

Structure:
```
data_Mn3Au7
_chemical_formula_sum 'Mn6 Au14'
_space_group_name_H-M_alt 'C 1 2/m 1'
_space_group_IT_number 12
_space_group_name_Hall '-C 2y'
_cell_length_a 14.7479
_cell_length_b 4.2670
_cell_length_c 5.7698
_cell_angle_alpha 90.00
_cell_angle_beta 107.49
_cell_angle_gamma 90.00
loop_
_atom_site_label
_atom_site_fract_x
_atom_site_fract_y
_atom_site_fract_z
Mn1 0.0000 0.0000 0.0000
Mn2 0.1990 0.0000 0.6248
Au1 0.0000 0.0000 0.5000
Au2 0.0990 0.5000 0.8182
Au3 0.1065 0.5000 0.3251
Au4 0.1996 0.0000 0.1319
```


# 6
For Li3IBr2, a structure optimized by DFT (PBE) gives the simulated powder XRD pattern in this record (Cu Kα (weighted mean of Kα1 and Kα2)).
Neutral-atom scattering factors, no anomalous dispersion.

Top 8 peaks for 2θ = 15–90°, by angle:
| index | d/Å | two_theta | I (rel.) |
| --- | --- | --- | --- |
| 1 0 1 | 3.513 | 25.35 | 100 |
| 1 3 0 | 3.048 | 29.30 | 31 |
| 0 0 2 | 3.030 | 29.48 | 15 |
| 2 0 0 | 2.155 | 41.91 | 14 |
| 1 3 2 | 2.149 | 42.05 | 28 |
| 2 3 1 | 1.837 | 49.62 | 31 |
| 1 0 3 | 1.829 | 49.85 | 15 |
| 2 3 3 | 1.395 | 67.11 | 12 |

Structure:
```
data_Li3IBr2
_chemical_formula_sum 'Li6 I2 Br4'
_space_group_name_H-M_alt 'I m m 2'
_space_group_IT_number 44
_space_group_name_Hall 'I 2 -2'
_cell_length_a 4.3114
_cell_length_b 12.9315
_cell_length_c 6.0599
_cell_angle_alpha 90.00
_cell_angle_beta 90.00
_cell_angle_gamma 90.00
loop_
_atom_site_label
_atom_site_fract_x
_atom_site_fract_y
_atom_site_fract_z
Li1 0.0000 0.0000 0.0000
Li2 0.0000 0.3229 0.0478
I1 0.0000 0.5000 0.7844
Br1 0.0000 0.1694 0.7810
```


# 7
For Ba2NdTlCu2O7, a structure optimized by DFT (PBE) gives the simulated powder XRD pattern in this record (Cu Kα (weighted mean of Kα1 and Kα2)).
Neutral-atom scattering factors, no anomalous dispersion.

Top 8 peaks for 2θ = 15–90°, by angle:
| index | d/Å | two_theta | I (rel.) |
| --- | --- | --- | --- |
| 0 3 1 | 2.904 | 30.79 | 78 |
| 1 3 0 | 2.890 | 30.95 | 79 |
| 1 0 1 | 2.782 | 32.18 | 100 |
| 1 4 1 | 2.102 | 43.02 | 25 |
| 0 0 2 | 1.976 | 45.93 | 23 |
| 2 0 0 | 1.958 | 46.37 | 26 |
| 1 3 2 | 1.631 | 56.41 | 27 |
| 2 3 1 | 1.624 | 56.70 | 28 |

Structure:
```
data_Ba2NdTlCu2O7
_chemical_formula_sum 'Ba2 Nd1 Tl1 Cu2 O7'
_space_group_name_H-M_alt 'P m m 2'
_space_group_IT_number 25
_space_group_name_Hall 'P 2 -2'
_cell_length_a 3.9163
_cell_length_b 12.8428
_cell_length_c 3.9520
_cell_angle_alpha 90.00
_cell_angle_beta 90.00
_cell_angle_gamma 90.00
loop_
_atom_site_label
_atom_site_fract_x
_atom_site_fract_y
_atom_site_fract_z
Ba1 0.0000 0.2054 0.0000
Nd1 0.0000 0.5000 0.0004
Tl1 0.5000 0.0000 0.5647
Cu1 0.5000 0.3665 0.4997
O1 0.0000 0.0000 0.8928
O2 0.0000 0.3818 0.5012
O3 0.5000 0.1654 0.4836
O4 0.5000 0.3803 0.9997
```


# 8
For Er7Pd2Pb2, a structure optimized by DFT (PBE) gives the simulated powder XRD pattern in this record (Cu Kα (weighted mean of Kα1 and Kα2)).
Neutral-atom scattering factors, no anomalous dispersion.

Top 8 peaks for 2θ = 15–90°, by angle:
| index | d/Å | two_theta | I (rel.) |
| --- | --- | --- | --- |
| 1 1 2 | 2.916 | 30.66 | 46 |
| 0 3 3 | 2.878 | 31.08 | 87 |
| 1 4 1 | 2.623 | 34.18 | 100 |
| 1 3 2 | 2.601 | 34.48 | 33 |
| 1 2 3 | 2.376 | 37.86 | 26 |
| 1 7 2 | 1.831 | 49.81 | 26 |
| 2 0 0 | 1.823 | 50.04 | 25 |
| 2 3 3 | 1.540 | 60.08 | 27 |

Structure:
```
data_Er7Pd2Pb2
_chemical_formula_sum 'Er14 Pd4 Pb4'
_space_group_name_H-M_alt 'I m m 2'
_space_group_IT_number 44
_space_group_name_Hall 'I 2 -2'
_cell_length_a 3.6456
_cell_length_b 16.2720
_cell_length_c 10.1851
_cell_angle_alpha 90.00
_cell_angle_beta 90.00
_cell_angle_gamma 90.00
loop_
_atom_site_label
_atom_site_fract_x
_atom_site_fract_y
_atom_site_fract_z
Er1 0.0000 0.0000 0.0000
Er2 0.0000 0.1251 0.5515
Er3 0.0000 0.3184 0.3569
Er4 0.0000 0.3477 0.7092
Pd1 0.0000 0.2407 0.0464
Pb1 0.0000 0.0000 0.3137
Pb2 0.0000 0.5000 0.2327
```